Starting from a cell relaxed with GGA+U, the X-ray powder pattern of CoBiRhO6 was calculated for Cu Kα, 1.54184 Å.

Principal peaks in the range 10° ≤ 2θ ≤ 90°, by angle:
2θ (°)  I_rel
20.08  14.7
27.55  100.0
35.15  32.7
45.23  25.3
52.61  32.9
58.54  24.5
62.23  9.8
63.07  10.7
80.95  11.8
84.19  9.0

Crystal structure
```
9
Lattice="5.106 0.000 0.000 -2.553 4.422 0.000 0.000 0.000 4.755" Properties=species:S:1:pos:R:3 pbc="T T T"
Co 0.000 0.000 0.000
Bi 0.000 2.948 2.377
Rh 2.553 1.474 0.000
O 1.563 0.146 1.061
O 0.908 1.281 3.694
O 3.543 0.146 3.694
O 1.898 2.995 1.061
O 4.197 1.281 1.061
O 3.208 2.995 3.694
```